Diffraction record for ZnPtC4N4. The powder diffractogram is theoretical, not measured: it uses a DFT-relaxed cell (PBE, the Materials Project) and Cu Kα.
Neutral-atom scattering factors, no anomalous dispersion.

Structure:
```
data_ZnPtC4N4
_chemical_formula_sum 'Zn2 Pt2 C8 N8'
_symmetry_space_group_name_H-M 'P 42/m c m'
_symmetry_Int_Tables_number 132
_symmetry_space_group_name_Hall '-P 4c 2c'
_cell_length_a 5.490
_cell_length_b 5.490
_cell_length_c 13.359
_cell_angle_alpha 90.00
_cell_angle_beta 90.00
_cell_angle_gamma 90.00
loop_
_atom_site_label
_atom_site_fract_x
_atom_site_fract_y
_atom_site_fract_z
Zn1 0.000 0.000 0.250
Pt1 0.500 0.500 0.000
C1 0.314 0.314 0.102
N1 0.201 0.201 0.160
```

Top 12 peaks for 10° ≤ 2θ ≤ 80°, most intense first:
two_theta, d_spacing, intensity, index
20.95, 4.241, 1000, 1 0 2
22.91, 3.882, 403, 1 1 0
39.09, 2.304, 344, 2 1 2
35.46, 2.532, 225, 1 1 4
42.63, 2.121, 202, 2 0 4
16.14, 5.490, 169, 1 0 0
55.73, 1.649, 149, 2 1 6
60.06, 1.540, 118, 3 1 4
43.88, 2.063, 108, 1 0 6
62.57, 1.485, 104, 3 2 2
26.56, 3.356, 103, 1 1 2
13.25, 6.680, 102, 0 0 2